No. 1
The following is a computed X-ray powder pattern of Li10SiP2S12. It was derived from a structure optimized by DFT (GGA-PBE), using copper Kα.
Kinematic intensities with the Lorentz-polarization factor, no thermal factor.

Cell: 8.6486 8.8296 12.9954 Å, 88.35 89.41 89.94°
Space group P1 (No. 1)
Inequivalent atoms, fractional coordinates:
Li 0.0000 0.0000 0.0000 (multiplicity 1)
Li 0.0011 0.4436 0.6675 (multiplicity 1)
Li 0.0025 0.4605 0.9102 (multiplicity 1)
Li 0.0079 0.9335 0.4983 (multiplicity 1)
Li 0.0138 0.4752 0.1539 (multiplicity 1)
Li 0.0184 0.9447 0.7916 (multiplicity 1)
Li 0.0367 0.5420 0.4052 (multiplicity 1)
Li 0.0495 0.9724 0.2382 (multiplicity 1)
Li 0.2745 0.2329 0.2007 (multiplicity 1)
Li 0.2833 0.2323 0.7297 (multiplicity 1)
Li 0.4655 0.9366 0.5249 (multiplicity 1)
Li 0.4845 0.4564 0.4552 (multiplicity 1)
Li 0.4869 0.4720 0.8694 (multiplicity 1)
Li 0.4950 0.9354 0.8062 (multiplicity 1)
Li 0.5119 0.4776 0.1427 (multiplicity 1)
Li 0.5126 0.9896 0.0182 (multiplicity 1)
Li 0.5298 0.9703 0.2963 (multiplicity 1)
Li 0.7359 0.6861 0.6062 (multiplicity 1)
Li 0.7630 0.7188 0.1094 (multiplicity 1)
Li 0.7871 0.2433 0.4014 (multiplicity 1)
Si 0.2569 0.2038 0.9716 (multiplicity 1)
Si 0.7474 0.7077 0.3419 (multiplicity 1)
P 0.2408 0.2050 0.4667 (multiplicity 1)
P 0.2551 0.6865 0.6539 (multiplicity 1)
P 0.7595 0.7234 0.8467 (multiplicity 1)
P 0.7650 0.2284 0.1605 (multiplicity 1)
S 0.0361 0.2064 0.5503 (multiplicity 1)
S 0.0551 0.6744 0.5679 (multiplicity 1)
S 0.0620 0.1927 0.8710 (multiplicity 1)
S 0.2367 0.5127 0.7631 (multiplicity 1)
S 0.2493 0.0177 0.0837 (multiplicity 1)
S 0.2520 0.0012 0.3907 (multiplicity 1)
S 0.2554 0.3848 0.3628 (multiplicity 1)
S 0.2560 0.4170 0.0486 (multiplicity 1)
S 0.2625 0.8965 0.7159 (multiplicity 1)
S 0.4308 0.2157 0.5603 (multiplicity 1)
S 0.4481 0.6673 0.5647 (multiplicity 1)
S 0.4643 0.1869 0.8821 (multiplicity 1)
S 0.5526 0.7071 0.2436 (multiplicity 1)
S 0.5620 0.7328 0.9377 (multiplicity 1)
S 0.5723 0.2458 0.2546 (multiplicity 1)
S 0.7353 0.9111 0.4312 (multiplicity 1)
S 0.7548 0.8958 0.7367 (multiplicity 1)
S 0.7593 0.5149 0.7799 (multiplicity 1)
S 0.7586 0.5177 0.4493 (multiplicity 1)
S 0.7636 0.0260 0.0889 (multiplicity 1)
S 0.7685 0.4119 0.0596 (multiplicity 1)
S 0.9541 0.7427 0.9359 (multiplicity 1)
S 0.9579 0.2386 0.2522 (multiplicity 1)
S 0.9624 0.7076 0.2546 (multiplicity 1)

Principal peaks in the range 2θ from 10° to 90°, low angle first:
2θ (°), Rel. int.
12.3, 35
14.3, 35
19.6, 18
20.1, 26
28.5, 34
28.9, 26
29.0, 50
29.3, 100
40.9, 18
41.8, 30

No. 2
The following is a computed X-ray powder pattern of LiTl2PS4. It was derived from a structure optimized by DFT (GGA-PBE), using copper Kα.
Kinematic intensities with the Lorentz-polarization factor, no thermal factor.

Cell: 5.9086 12.3731 24.1448 Å, 90.00 90.00 90.00°
Space group Fddd (No. 70, origin choice 2)
Inequivalent atoms, fractional coordinates:
Li 0.1250 0.1250 0.1250 (multiplicity 8)
Tl 0.1250 0.1250 0.3159 (multiplicity 16)
P 0.1250 0.1250 0.6250 (multiplicity 8)
S 0.0781 0.2776 0.8268 (multiplicity 32)

Principal peaks in the range 2θ from 10° to 90°, low angle first:
2θ (°), Rel. int.
16.1, 62
20.0, 100
24.9, 38
26.4, 31
28.6, 81
29.6, 34
31.2, 35
32.3, 60
33.6, 37
44.6, 24

No. 3
The following is a computed X-ray powder pattern of LiVPS2. It was derived from a structure optimized by DFT (GGA-PBE), using copper Kα.
Kinematic intensities with the Lorentz-polarization factor, no thermal factor.

Cell: 4.5877 4.5877 4.6043 Å, 90.00 90.00 90.00°
Space group P4/mmm (No. 123)
Inequivalent atoms, fractional coordinates:
Li 0.0000 0.0000 0.0000 (multiplicity 1)
V 0.5000 0.5000 0.5000 (multiplicity 1)
P 0.5000 0.5000 0.0000 (multiplicity 1)
S 0.0000 0.5000 0.5000 (multiplicity 2)

Principal peaks in the range 2θ from 10° to 90°, low angle first:
2θ (°), Rel. int.
19.3, 100
33.8, 13
39.1, 18
39.3, 36
44.0, 13
44.1, 26
56.6, 22
56.8, 11
60.5, 14
71.1, 11

No. 4
The following is a computed X-ray powder pattern of Li10ZnP4S16. It was derived from a structure optimized by DFT (GGA-PBE), using copper Kα.
Kinematic intensities with the Lorentz-polarization factor, no thermal factor.

Cell: 6.1564 7.9091 12.9850 Å, 90.46 90.46 90.14°
Space group P1 (No. 1)
Inequivalent atoms, fractional coordinates:
Li 0.0000 0.0000 0.0000 (multiplicity 1)
Li 0.0017 0.0261 0.5054 (multiplicity 1)
Li 0.4259 0.6960 0.0664 (multiplicity 1)
Li 0.4912 0.2786 0.4207 (multiplicity 1)
Li 0.4976 0.7837 0.4172 (multiplicity 1)
Li 0.5051 0.5458 0.6613 (multiplicity 1)
Li 0.9900 0.2827 0.2371 (multiplicity 1)
Li 0.9922 0.7660 0.2351 (multiplicity 1)
Li 0.9962 0.7733 0.7437 (multiplicity 1)
Li 0.9984 0.2834 0.7342 (multiplicity 1)
Zn 0.4998 0.2606 0.9246 (multiplicity 1)
P 0.0025 0.5139 0.9866 (multiplicity 1)
P 0.4900 0.0381 0.1703 (multiplicity 1)
P 0.4927 0.0234 0.6732 (multiplicity 1)
P 0.9896 0.5295 0.4908 (multiplicity 1)
S 0.0959 0.3124 0.4186 (multiplicity 1)
S 0.1001 0.7426 0.4167 (multiplicity 1)
S 0.1030 0.5316 0.6406 (multiplicity 1)
S 0.1082 0.5191 0.1357 (multiplicity 1)
S 0.1118 0.2890 0.9167 (multiplicity 1)
S 0.1429 0.7184 0.9187 (multiplicity 1)
S 0.1537 0.0269 0.1733 (multiplicity 1)
S 0.1581 0.0251 0.6771 (multiplicity 1)
S 0.5890 0.0149 0.0156 (multiplicity 1)
S 0.5957 0.2528 0.2380 (multiplicity 1)
S 0.5972 0.8140 0.2312 (multiplicity 1)
S 0.5996 0.0331 0.5232 (multiplicity 1)
S 0.6010 0.2478 0.7462 (multiplicity 1)
S 0.6033 0.8218 0.7528 (multiplicity 1)
S 0.6551 0.5319 0.4883 (multiplicity 1)
S 0.6708 0.5224 0.9578 (multiplicity 1)

Principal peaks in the range 2θ from 10° to 90°, low angle first:
2θ (°), Rel. int.
17.6, 56
17.7, 31
18.3, 89
26.3, 41
26.5, 55
27.5, 62
29.0, 100
30.1, 57
31.0, 31
45.9, 34

No. 5
The following is a computed X-ray powder pattern of Li10ZnP4S16. It was derived from a structure optimized by DFT (GGA-PBE), using copper Kα.
Kinematic intensities with the Lorentz-polarization factor, no thermal factor.

Cell: 6.1778 7.8980 13.0023 Å, 89.91 89.86 89.84°
Space group P1 (No. 1)
Inequivalent atoms, fractional coordinates:
Li 0.0000 0.0000 0.0000 (multiplicity 1)
Li 0.0000 0.4942 0.5106 (multiplicity 1)
Li 0.0035 0.0074 0.5104 (multiplicity 1)
Li 0.0081 0.5037 0.0028 (multiplicity 1)
Li 0.4951 0.2500 0.9234 (multiplicity 1)
Li 0.4988 0.2446 0.4266 (multiplicity 1)
Li 0.5010 0.9891 0.1896 (multiplicity 1)
Li 0.5072 0.9921 0.6984 (multiplicity 1)
Li 0.5086 0.5003 0.1920 (multiplicity 1)
Li 0.9936 0.7504 0.2739 (multiplicity 1)
Zn 0.5089 0.5188 0.6999 (multiplicity 1)
P 0.0077 0.2492 0.2588 (multiplicity 1)
P 0.5096 0.7529 0.4441 (multiplicity 1)
P 0.5143 0.7457 0.9386 (multiplicity 1)
P 0.9906 0.2593 0.7571 (multiplicity 1)
S 0.3348 0.2615 0.7468 (multiplicity 1)
S 0.3417 0.2457 0.2553 (multiplicity 1)
S 0.3747 0.7484 0.7921 (multiplicity 1)
S 0.3946 0.9624 0.0082 (multiplicity 1)
S 0.3962 0.7430 0.2960 (multiplicity 1)
S 0.3969 0.9655 0.5168 (multiplicity 1)
S 0.3993 0.5344 0.5203 (multiplicity 1)
S 0.4009 0.5315 0.0126 (multiplicity 1)
S 0.8403 0.7495 0.9331 (multiplicity 1)
S 0.8415 0.7512 0.4473 (multiplicity 1)
S 0.8909 0.4851 0.6914 (multiplicity 1)
S 0.8958 0.0444 0.6881 (multiplicity 1)
S 0.8966 0.0351 0.1855 (multiplicity 1)
S 0.8982 0.2562 0.9087 (multiplicity 1)
S 0.8989 0.2502 0.4090 (multiplicity 1)
S 0.9010 0.4655 0.1859 (multiplicity 1)

Principal peaks in the range 2θ from 10° to 90°, low angle first:
2θ (°), Rel. int.
17.7, 79
18.2, 84
26.4, 100
27.4, 57
28.9, 94
30.2, 99
31.1, 57
46.0, 35
52.0, 31
52.1, 29

No. 6
The following is a computed X-ray powder pattern of Li4ZnP2S8. It was derived from a structure optimized by DFT (GGA-PBE), using copper Kα.
Kinematic intensities with the Lorentz-polarization factor, no thermal factor.

Cell: 6.2444 10.2652 10.3121 Å, 101.62 95.38 100.02°
Space group P1 (No. 1)
Inequivalent atoms, fractional coordinates:
Li 0.0000 0.0000 0.0000 (multiplicity 1)
Li 0.0669 0.1261 0.6949 (multiplicity 1)
Li 0.2804 0.5073 0.7437 (multiplicity 1)
Li 0.4848 0.9805 0.4923 (multiplicity 1)
Li 0.5818 0.1306 0.1749 (multiplicity 1)
Li 0.6502 0.2619 0.8617 (multiplicity 1)
Li 0.7871 0.5161 0.2479 (multiplicity 1)
Li 0.8737 0.7427 0.6359 (multiplicity 1)
Zn 0.1465 0.2572 0.3668 (multiplicity 1)
Zn 0.3753 0.7451 0.1229 (multiplicity 1)
P 0.2006 0.3807 0.0559 (multiplicity 1)
P 0.4420 0.8853 0.8184 (multiplicity 1)
P 0.7087 0.3626 0.5530 (multiplicity 1)
P 0.9428 0.8764 0.3122 (multiplicity 1)
S 0.0425 0.8297 0.1264 (multiplicity 1)
S 0.1305 0.9259 0.7928 (multiplicity 1)
S 0.1394 0.0506 0.4386 (multiplicity 1)
S 0.2210 0.2120 0.1440 (multiplicity 1)
S 0.2985 0.3300 0.8707 (multiplicity 1)
S 0.4047 0.4164 0.5256 (multiplicity 1)
S 0.4049 0.5422 0.1895 (multiplicity 1)
S 0.4561 0.7195 0.9034 (multiplicity 1)
S 0.5379 0.8294 0.6363 (multiplicity 1)
S 0.6300 0.9234 0.2782 (multiplicity 1)
S 0.6495 0.0538 0.9400 (multiplicity 1)
S 0.6992 0.1916 0.6290 (multiplicity 1)
S 0.8046 0.3246 0.3596 (multiplicity 1)
S 0.8968 0.4206 0.0377 (multiplicity 1)
S 0.9010 0.5227 0.6814 (multiplicity 1)
S 0.9579 0.7242 0.4049 (multiplicity 1)

Principal peaks in the range 2θ from 10° to 90°, low angle first:
2θ (°), Rel. int.
17.9, 32
18.0, 93
28.7, 51
28.9, 100
29.0, 51
44.1, 20
44.5, 21
49.7, 16
49.9, 17
50.0, 31

No. 7
The following is a computed X-ray powder pattern of Li4ZnP2S8. It was derived from a structure optimized by DFT (GGA-PBE), using copper Kα.
Kinematic intensities with the Lorentz-polarization factor, no thermal factor.

Cell: 5.7885 6.2425 10.2113 Å, 79.81 73.99 62.50°
Space group P1 (No. 1)
Inequivalent atoms, fractional coordinates:
Li 0.0000 0.0000 0.0000 (multiplicity 1)
Li 0.1264 0.1308 0.6349 (multiplicity 1)
Li 0.3631 0.3815 0.8832 (multiplicity 1)
Li 0.6334 0.6024 0.1531 (multiplicity 1)
Zn 0.8994 0.8489 0.4022 (multiplicity 1)
P 0.2752 0.2316 0.2662 (multiplicity 1)
P 0.7422 0.7437 0.7723 (multiplicity 1)
S 0.0155 0.8098 0.6092 (multiplicity 1)
S 0.2030 0.9542 0.2217 (multiplicity 1)
S 0.3705 0.0336 0.8106 (multiplicity 1)
S 0.4495 0.1511 0.4293 (multiplicity 1)
S 0.5121 0.3110 0.0952 (multiplicity 1)
S 0.7087 0.4579 0.7280 (multiplicity 1)
S 0.8997 0.5113 0.3242 (multiplicity 1)
S 0.9086 0.6762 0.9396 (multiplicity 1)

Principal peaks in the range 2θ from 10° to 90°, low angle first:
2θ (°), Rel. int.
17.8, 18
18.0, 93
18.1, 27
28.9, 100
29.0, 50
29.1, 44
44.1, 21
44.5, 20
49.8, 16
49.9, 16

No. 8
The following is a computed X-ray powder pattern of Li4ZnP2S8. It was derived from a structure optimized by DFT (GGA-PBE), using copper Kα.
Kinematic intensities with the Lorentz-polarization factor, no thermal factor.

Cell: 5.7696 9.4653 11.5075 Å, 90.00 90.05 90.00°
Space group P2_1 (No. 4)
Inequivalent atoms, fractional coordinates:
Li 0.2444 0.0000 0.3753 (multiplicity 2)
Li 0.2497 0.9986 0.8747 (multiplicity 2)
Li 0.2523 0.7512 0.1175 (multiplicity 2)
Li 0.2528 0.5065 0.8723 (multiplicity 2)
Zn 0.2518 0.4906 0.3756 (multiplicity 2)
P 0.2394 0.2508 0.1238 (multiplicity 2)
P 0.2615 0.2461 0.6251 (multiplicity 2)
S 0.0312 0.1283 0.7281 (multiplicity 2)
S 0.0365 0.1341 0.2298 (multiplicity 2)
S 0.0369 0.3742 0.0156 (multiplicity 2)
S 0.0467 0.3588 0.5157 (multiplicity 2)
S 0.4554 0.3716 0.2294 (multiplicity 2)
S 0.4591 0.1334 0.0195 (multiplicity 2)
S 0.4643 0.3642 0.7337 (multiplicity 2)
S 0.4724 0.1264 0.5201 (multiplicity 2)

Principal peaks in the range 2θ from 10° to 90°, low angle first:
2θ (°), Rel. int.
12.1, 10
18.0, 61
28.9, 100
36.1, 12
44.5, 21
45.4, 13
49.9, 32
53.9, 10
54.0, 10
63.2, 8

No. 9
The following is a computed X-ray powder pattern of Li4ZnP2S8. It was derived from a structure optimized by DFT (GGA-PBE), using copper Kα.
Kinematic intensities with the Lorentz-polarization factor, no thermal factor.

Cell: 6.1280 8.0871 19.0577 Å, 90.09 90.05 90.10°
Space group P1 (No. 1)
Inequivalent atoms, fractional coordinates:
Li 0.0000 0.0000 0.0000 (multiplicity 1)
Li 0.9997 0.0153 0.3347 (multiplicity 1)
Li 0.0010 0.2661 0.4938 (multiplicity 1)
Li 0.0059 0.2675 0.1523 (multiplicity 1)
Li 0.0058 0.7602 0.8147 (multiplicity 1)
Li 0.0079 0.7595 0.4990 (multiplicity 1)
Li 0.4970 0.5192 0.4438 (multiplicity 1)
Li 0.4992 0.7655 0.2821 (multiplicity 1)
Li 0.5003 0.2648 0.9548 (multiplicity 1)
Li 0.5017 0.7681 0.6305 (multiplicity 1)
Li 0.5056 0.2558 0.2816 (multiplicity 1)
Li 0.5110 0.7526 0.9460 (multiplicity 1)
Zn 0.0084 0.7392 0.1526 (multiplicity 1)
Zn 0.0121 0.2710 0.8239 (multiplicity 1)
Zn 0.5108 0.2514 0.6241 (multiplicity 1)
P 0.0135 0.5077 0.3267 (multiplicity 1)
P 0.0226 0.5182 0.9924 (multiplicity 1)
P 0.4940 0.9984 0.1142 (multiplicity 1)
P 0.5001 0.0275 0.7850 (multiplicity 1)
P 0.5136 0.0080 0.4506 (multiplicity 1)
P 0.9974 0.4957 0.6598 (multiplicity 1)
S 0.3347 0.5005 0.6477 (multiplicity 1)
S 0.3485 0.5099 0.3243 (multiplicity 1)
S 0.3492 0.5144 0.9992 (multiplicity 1)
S 0.3793 0.0231 0.6831 (multiplicity 1)
S 0.3926 0.7782 0.1589 (multiplicity 1)
S 0.3959 0.2457 0.8305 (multiplicity 1)
S 0.3957 0.8118 0.8262 (multiplicity 1)
S 0.3972 0.2094 0.1608 (multiplicity 1)
S 0.4031 0.0126 0.3483 (multiplicity 1)
S 0.4026 0.2235 0.4998 (multiplicity 1)
S 0.4038 0.8014 0.5014 (multiplicity 1)
S 0.4080 0.0015 0.0103 (multiplicity 1)
S 0.8387 0.0260 0.7894 (multiplicity 1)
S 0.8407 0.9954 0.1226 (multiplicity 1)
S 0.8492 0.0096 0.4522 (multiplicity 1)
S 0.8737 0.5118 0.0912 (multiplicity 1)
S 0.8883 0.7091 0.6176 (multiplicity 1)
S 0.8896 0.5019 0.7626 (multiplicity 1)
S 0.8925 0.2752 0.6160 (multiplicity 1)
S 0.9013 0.7215 0.2754 (multiplicity 1)
S 0.9016 0.2989 0.2773 (multiplicity 1)
S 0.9020 0.2995 0.9458 (multiplicity 1)
S 0.9030 0.5172 0.4282 (multiplicity 1)
S 0.9082 0.7236 0.9409 (multiplicity 1)

Principal peaks in the range 2θ from 10° to 90°, low angle first:
2θ (°), Rel. int.
11.9, 64
17.8, 67
18.2, 78
26.1, 100
28.1, 67
29.1, 89
30.0, 84
31.7, 39
44.8, 35
52.2, 63